The following is a calculated PXRD pattern of La5Pr5Cd2. It was derived from a cell relaxed with GGA-PBE, using Cu Kα, 1.54184 Å.
No peak broadening, texture or thermal motion is included.

Top 12 peaks for 2θ from 15° to 90°, sorted by position:
- 2θ = 28.96°, rel. 9
- 2θ = 30.68°, rel. 100
- 2θ = 31.10°, rel. 21
- 2θ = 31.46°, rel. 27
- 2θ = 43.03°, rel. 10
- 2θ = 44.83°, rel. 15
- 2θ = 54.03°, rel. 7
- 2θ = 54.27°, rel. 8
- 2θ = 55.07°, rel. 11
- 2θ = 55.53°, rel. 18
- 2θ = 58.94°, rel. 7
- 2θ = 63.88°, rel. 8

```
La5Pr5Cd2
1.0
6.306 -2.843 0.000
6.306 2.843 0.000
-0.011 0.000 11.503
La Pr Cd
5 5 2
Direct
0.000 0.000 0.000
0.319 0.319 0.535
0.482 0.482 0.250
0.518 0.518 0.750
0.681 0.681 0.465
0.000 0.000 0.500
0.183 0.183 0.248
0.317 0.317 0.963
0.683 0.683 0.037
0.817 0.817 0.752
0.146 0.146 0.749
0.854 0.854 0.251
```